No. 1
This entry pairs a crystal structure of GaPH11C3Cl with its calculated PXRD pattern. Radiation: copper Kα. Structure: the GGA-PBE geometry in Alexandria.
Intensities are scaled so that the largest is 100.

Cell and atoms:
```
data_GaPH11C3Cl
_chemical_formula_sum 'Ga2 P2 H22 C6 Cl2'
_cell_length_a 6.635
_cell_length_b 7.531
_cell_length_c 10.059
_cell_angle_alpha 90.01
_cell_angle_beta 90.21
_cell_angle_gamma 116.12
_symmetry_space_group_name_H-M 'P -1'
_symmetry_Int_Tables_number 2
_symmetry_space_group_name_Hall '-P 1'
loop_
_atom_site_label
_atom_site_type_symbol
_atom_site_fract_x
_atom_site_fract_y
_atom_site_fract_z
_atom_site_occupancy
Ga1 Ga 0.060 0.342 0.250 1
P1 P 0.331 0.688 0.249 1
H1 H 0.074 0.252 0.112 1
H2 H 0.078 0.252 0.387 1
H3 H 0.096 0.829 0.160 1
H4 H 0.096 0.830 0.337 1
H5 H 0.333 0.010 0.249 1
H6 H 0.365 0.087 0.610 1
H7 H 0.366 0.089 0.891 1
H8 H 0.389 0.334 0.607 1
H9 H 0.390 0.336 0.893 1
H10 H 0.417 0.721 0.014 1
H11 H 0.418 0.724 0.485 1
C1 C 0.202 0.856 0.249 1
C2 C 0.484 0.245 0.606 1
C3 C 0.484 0.247 0.894 1
Cl1 Cl 0.270 0.630 0.749 1
```

Top 12 peaks for 2θ from 10° to 90°, sorted by position:
| 2θ/deg | Rel. int. | index |
| --- | --- | --- |
| 13.09 | 38 | 0 1 0 |
| 14.87 | 30 | 1 -1 0 |
| 17.30 | 59 | 1 -1 1 |
| 17.64 | 100 | 0 0 2 |
| 22.03 | 24 | 0 1 2 |
| 23.15 | 38 | 1 -1 2 |
| 25.47 | 38 | 1 1 -1 |
| 26.36 | 13 | 0 2 0 |
| 27.84 | 27 | 0 2 -1 |
| 29.74 | 13 | 0 1 -3 |
| 30.01 | 17 | 2 -2 0 |
| 36.98 | 15 | 1 2 1 |

---

No. 2
This entry pairs a crystal structure of HfTi3Sn with its calculated PXRD pattern. Radiation: copper Kα. Structure: the GGA-PBE geometry in Alexandria.
Intensities are scaled so that the largest is 100.

Cell and atoms:
```
data_HfTi3Sn
_chemical_formula_sum 'Hf2 Ti6 Sn2'
_cell_length_a 4.770
_cell_length_b 2.929
_cell_length_c 13.638
_cell_angle_alpha 90.00
_cell_angle_beta 90.02
_cell_angle_gamma 90.00
_symmetry_space_group_name_H-M 'P 1 2/m 1'
_symmetry_Int_Tables_number 10
_symmetry_space_group_name_Hall '-P 2y'
loop_
_atom_site_label
_atom_site_type_symbol
_atom_site_fract_x
_atom_site_fract_y
_atom_site_fract_z
_atom_site_occupancy
Hf1 Hf 0.249 0.000 0.244 1
Ti1 Ti 0.250 0.000 0.450 1
Ti2 Ti 0.250 0.500 0.055 1
Ti3 Ti 0.251 0.000 0.870 1
Sn1 Sn 0.251 0.500 0.646 1
```

Top 12 peaks for 2θ from 10° to 90°, sorted by position:
| 2θ/deg | Rel. int. | index |
| --- | --- | --- |
| 12.98 | 62 | 0 0 2 |
| 27.10 | 39 | 1 0 -3 |
| 36.49 | 30 | 0 1 3 |
| 36.60 | 69 | 1 1 1 |
| 37.72 | 54 | 2 0 0 |
| 38.00 | 100 | 1 0 -5 |
| 38.40 | 47 | 1 1 -2 |
| 40.61 | 26 | 0 1 4 |
| 41.26 | 23 | 1 1 3 |
| 53.49 | 20 | 2 1 3 |
| 56.62 | 21 | 2 1 -4 |
| 76.48 | 25 | 1 2 -5 |